(1)
Starting from a structure optimized by DFT (GGA-PBE), the XRD peak list of Al2CdAu7 was calculated for CuKα.
Intensities are scaled so that the largest is 1000.

The 8 most intense peaks (10° ≤ 2θ ≤ 90°), sorted by position:
2θ (°)  I_rel
29.56  386
30.84  206
34.41  241
39.73  1000
42.30  537
55.91  183
61.36  180
75.62  311

Atomic structure:
```
data_Al2CdAu7
_chemical_formula_sum 'Al2 Cd1 Au7'
_cell_length_a 10.736
_cell_length_b 10.736
_cell_length_c 10.736
_cell_angle_alpha 157.04
_cell_angle_beta 157.04
_cell_angle_gamma 32.69
_symmetry_space_group_name_H-M 'P 1'
_symmetry_Int_Tables_number 1
_symmetry_space_group_name_Hall 'P 1'
loop_
_atom_site_label
_atom_site_type_symbol
_atom_site_fract_x
_atom_site_fract_y
_atom_site_fract_z
Al1 Al 0.175 0.175 0.000
Al2 Al 0.825 0.825 0.000
Cd1 Cd 0.500 0.500 0.000
Au1 Au 0.000 0.000 0.000
Au2 Au 0.101 0.601 0.500
Au3 Au 0.250 0.750 0.500
Au4 Au 0.399 0.899 0.500
Au5 Au 0.601 0.101 0.500
Au6 Au 0.750 0.250 0.500
Au7 Au 0.899 0.399 0.500
```



(2)
Starting from a structure optimized by DFT (GGA-PBE), the XRD peak list of Cs4PaO5 was calculated for CuKα.
Intensities are scaled so that the largest is 1000.

The 8 most intense peaks (10° ≤ 2θ ≤ 90°), sorted by position:
2θ (°)  I_rel
26.01  1000
29.32  248
30.51  434
42.83  332
43.69  153
50.02  176
51.55  356
53.49  156

Atomic structure:
```
data_Cs4PaO5
_chemical_formula_sum 'Cs4 Pa1 O5'
_cell_length_a 7.225
_cell_length_b 7.225
_cell_length_c 7.225
_cell_angle_alpha 100.24
_cell_angle_beta 100.24
_cell_angle_gamma 130.13
_symmetry_space_group_name_H-M 'P 1'
_symmetry_Int_Tables_number 1
_symmetry_space_group_name_Hall 'P 1'
loop_
_atom_site_label
_atom_site_type_symbol
_atom_site_fract_x
_atom_site_fract_y
_atom_site_fract_z
Cs1 Cs 0.104 0.298 0.402
Cs2 Cs 0.298 0.896 0.194
Cs3 Cs 0.702 0.104 0.806
Cs4 Cs 0.896 0.702 0.598
Pa1 Pa 0.530 0.530 0.000
O1 O 0.280 0.566 0.858
O2 O 0.422 0.280 0.714
O3 O 0.566 0.708 0.286
O4 O 0.708 0.422 0.142
O5 O 0.880 0.880 0.000
```



(3)
Starting from a structure optimized by DFT (GGA-PBE), the XRD peak list of Pr2HoAu3 was calculated for CuKα.
Intensities are scaled so that the largest is 1000.

The 8 most intense peaks (10° ≤ 2θ ≤ 90°), sorted by position:
2θ (°)  I_rel
33.95  242
34.41  1000
34.52  255
49.20  172
61.05  165
61.78  187
61.93  94
72.54  108

Atomic structure:
```
data_Pr2HoAu3
_chemical_formula_sum 'Pr4 Ho2 Au6'
_cell_length_a 5.196
_cell_length_b 15.844
_cell_length_c 3.668
_cell_angle_alpha 90.00
_cell_angle_beta 90.00
_cell_angle_gamma 90.00
_symmetry_space_group_name_H-M 'P 1'
_symmetry_Int_Tables_number 1
_symmetry_space_group_name_Hall 'P 1'
loop_
_atom_site_label
_atom_site_type_symbol
_atom_site_fract_x
_atom_site_fract_y
_atom_site_fract_z
Pr1 Pr 0.250 0.082 0.010
Pr2 Pr 0.250 0.418 0.010
Pr3 Pr 0.750 0.582 0.990
Pr4 Pr 0.750 0.918 0.990
Ho1 Ho 0.250 0.750 0.991
Ho2 Ho 0.750 0.250 0.009
Au1 Au 0.250 0.250 0.507
Au2 Au 0.250 0.597 0.490
Au3 Au 0.250 0.903 0.490
Au4 Au 0.750 0.097 0.510
Au5 Au 0.750 0.403 0.510
Au6 Au 0.750 0.750 0.493
```



(4)
Starting from a structure optimized by DFT (GGA-PBE), the XRD peak list of Nd6GeTe4 was calculated for CuKα.
Intensities are scaled so that the largest is 1000.

The 8 most intense peaks (10° ≤ 2θ ≤ 90°), sorted by position:
2θ (°)  I_rel
30.65  1000
31.35  113
33.30  533
39.68  130
48.45  107
52.74  147
62.20  149
66.45  107

Atomic structure:
```
data_Nd6GeTe4
_chemical_formula_sum 'Nd12 Ge2 Te8'
_cell_length_a 8.509
_cell_length_b 8.509
_cell_length_c 9.086
_cell_angle_alpha 90.00
_cell_angle_beta 90.00
_cell_angle_gamma 90.00
_symmetry_space_group_name_H-M 'P 1'
_symmetry_Int_Tables_number 1
_symmetry_space_group_name_Hall 'P 1'
loop_
_atom_site_label
_atom_site_type_symbol
_atom_site_fract_x
_atom_site_fract_y
_atom_site_fract_z
Nd1 Nd 0.000 0.000 0.191
Nd2 Nd 0.000 0.000 0.809
Nd3 Nd 0.138 0.321 0.500
Nd4 Nd 0.179 0.362 0.000
Nd5 Nd 0.321 0.862 0.500
Nd6 Nd 0.362 0.821 0.000
Nd7 Nd 0.500 0.500 0.309
Nd8 Nd 0.500 0.500 0.691
Nd9 Nd 0.638 0.179 0.000
Nd10 Nd 0.679 0.138 0.500
Nd11 Nd 0.821 0.638 0.000
Nd12 Nd 0.862 0.679 0.500
Ge1 Ge 0.000 0.000 0.500
Ge2 Ge 0.500 0.500 0.000
Te1 Te 0.146 0.646 0.250
Te2 Te 0.146 0.646 0.750
Te3 Te 0.354 0.146 0.250
Te4 Te 0.354 0.146 0.750
Te5 Te 0.646 0.854 0.250
Te6 Te 0.646 0.854 0.750
Te7 Te 0.854 0.354 0.250
Te8 Te 0.854 0.354 0.750
```



(5)
Starting from a structure optimized by DFT (GGA-PBE), the XRD peak list of LiAlC was calculated for CuKα.
Intensities are scaled so that the largest is 1000.

The 8 most intense peaks (10° ≤ 2θ ≤ 90°), sorted by position:
2θ (°)  I_rel
29.92  428
30.83  417
33.76  1000
43.50  554
53.13  685
56.72  558
62.69  274
81.44  186

Atomic structure:
```
data_LiAlC
_chemical_formula_sum 'Li2 Al2 C2'
_cell_length_a 3.448
_cell_length_b 3.448
_cell_length_c 5.800
_cell_angle_alpha 90.00
_cell_angle_beta 90.00
_cell_angle_gamma 120.00
_symmetry_space_group_name_H-M 'P 1'
_symmetry_Int_Tables_number 1
_symmetry_space_group_name_Hall 'P 1'
loop_
_atom_site_label
_atom_site_type_symbol
_atom_site_fract_x
_atom_site_fract_y
_atom_site_fract_z
Li1 Li 0.000 0.000 0.000
Li2 Li 0.000 0.000 0.500
Al1 Al 0.333 0.667 0.244
Al2 Al 0.667 0.333 0.744
C1 C 0.333 0.667 0.621
C2 C 0.667 0.333 0.121
```



(6)
Starting from a structure optimized by DFT (GGA-PBE), the XRD peak list of TbIn3Ni3 was calculated for CuKα.
Intensities are scaled so that the largest is 1000.

The 8 most intense peaks (10° ≤ 2θ ≤ 90°), sorted by position:
2θ (°)  I_rel
25.82  426
31.76  1000
45.53  156
49.41  570
53.08  243
59.94  157
75.44  158
87.04  166

Atomic structure:
```
data_TbIn3Ni3
_chemical_formula_sum 'Tb2 In6 Ni6'
_cell_length_a 6.902
_cell_length_b 6.902
_cell_length_c 6.902
_cell_angle_alpha 90.00
_cell_angle_beta 90.00
_cell_angle_gamma 90.00
_symmetry_space_group_name_H-M 'P 1'
_symmetry_Int_Tables_number 1
_symmetry_space_group_name_Hall 'P 1'
loop_
_atom_site_label
_atom_site_type_symbol
_atom_site_fract_x
_atom_site_fract_y
_atom_site_fract_z
Tb1 Tb 0.000 0.000 0.000
Tb2 Tb 0.500 0.500 0.500
In1 In 0.000 0.250 0.500
In2 In 0.000 0.750 0.500
In3 In 0.250 0.500 0.000
In4 In 0.500 0.000 0.250
In5 In 0.500 0.000 0.750
In6 In 0.750 0.500 0.000
Ni1 Ni 0.000 0.500 0.250
Ni2 Ni 0.000 0.500 0.750
Ni3 Ni 0.250 0.000 0.500
Ni4 Ni 0.500 0.250 0.000
Ni5 Ni 0.500 0.750 0.000
Ni6 Ni 0.750 0.000 0.500
```



(7)
Starting from a structure optimized by DFT (GGA-PBE), the XRD peak list of ScGaHg was calculated for CuKα.
Intensities are scaled so that the largest is 1000.

The 8 most intense peaks (10° ≤ 2θ ≤ 90°), sorted by position:
2θ (°)  I_rel
12.85  435
25.86  175
30.58  339
35.82  1000
39.22  185
42.03  166
43.46  151
72.76  125

Atomic structure:
```
data_ScGaHg
_chemical_formula_sum 'Sc2 Ga2 Hg2'
_cell_length_a 7.199
_cell_length_b 7.199
_cell_length_c 4.299
_cell_angle_alpha 90.02
_cell_angle_beta 90.02
_cell_angle_gamma 146.37
_symmetry_space_group_name_H-M 'P 1'
_symmetry_Int_Tables_number 1
_symmetry_space_group_name_Hall 'P 1'
loop_
_atom_site_label
_atom_site_type_symbol
_atom_site_fract_x
_atom_site_fract_y
_atom_site_fract_z
Sc1 Sc 0.162 0.838 0.000
Sc2 Sc 0.838 0.162 0.000
Ga1 Ga 0.312 0.688 0.500
Ga2 Ga 0.688 0.312 0.500
Hg1 Hg 0.000 0.000 0.500
Hg2 Hg 0.500 0.500 0.000
```



(8)
Starting from a structure optimized by DFT (GGA-PBE), the XRD peak list of Tb3PrTm6Th2 was calculated for CuKα.
Intensities are scaled so that the largest is 1000.

The 8 most intense peaks (10° ≤ 2θ ≤ 90°), sorted by position:
2θ (°)  I_rel
30.86  1000
31.26  322
35.90  670
51.41  243
51.94  236
61.17  144
61.41  286
61.89  140

Atomic structure:
```
data_Tb3PrTm6Th2
_chemical_formula_sum 'Tb3 Pr1 Tm6 Th2'
_cell_length_a 6.156
_cell_length_b 6.156
_cell_length_c 11.628
_cell_angle_alpha 95.08
_cell_angle_beta 95.08
_cell_angle_gamma 119.97
_symmetry_space_group_name_H-M 'P 1'
_symmetry_Int_Tables_number 1
_symmetry_space_group_name_Hall 'P 1'
loop_
_atom_site_label
_atom_site_type_symbol
_atom_site_fract_x
_atom_site_fract_y
_atom_site_fract_z
Tb1 Tb 0.000 0.000 0.000
Tb2 Tb 0.334 0.666 0.000
Tb3 Tb 0.666 0.334 0.000
Pr1 Pr 0.500 0.500 0.500
Tm1 Tm 0.078 0.416 0.251
Tm2 Tm 0.245 0.245 0.749
Tm3 Tm 0.416 0.078 0.251
Tm4 Tm 0.584 0.922 0.749
Tm5 Tm 0.755 0.755 0.251
Tm6 Tm 0.922 0.584 0.749
Th1 Th 0.167 0.833 0.500
Th2 Th 0.833 0.167 0.500
```